1.
Theoretical X-ray diffraction stick pattern
Compound: Nd2Dy3Er9
Radiation: λ = 1.5418 Å (Cu Kα)
Structure: a structure optimized by DFT (PBE)
Peak positions follow from Bragg's law for the DFT cell and can differ from measured ones.

Peak list (6 most intense, 10° ≤ 2θ ≤ 80°, by angle)
- (-1 1 3), 30.7 deg, rel. 30.8
- (1 -2 2), 31.0 deg, rel. 60.9
- (1 1 2), 31.1 deg, rel. 100.0
- (0 3 0), 33.2 deg, rel. 33.9
- (2 0 -1), 33.9 deg, rel. 23.4
- (0 1 -4), 34.8 deg, rel. 26.2

Structure:
```
data_Nd2Dy3Er9
_chemical_formula_sum 'Nd2 Dy3 Er9'
_space_group_name_H-M_alt 'P -1'
_space_group_IT_number 2
_cell_length_a 5.353
_cell_length_b 8.289
_cell_length_c 10.622
_cell_angle_alpha 97.56
_cell_angle_beta 100.67
_cell_angle_gamma 97.99
loop_
_space_group_symop_operation_xyz
'x,y,z'
'-x,-y,-z'
loop_
_atom_site_label
_atom_site_type_symbol
_atom_site_fract_x
_atom_site_fract_y
_atom_site_fract_z
_atom_site_occupancy
Nd1 Nd 0.019 0.479 0.241 1
Dy1 Dy 0.210 0.094 0.334 1
Dy2 Dy 0.500 0.500 0.000 1
Er1 Er 0.022 0.811 0.066 1
Er2 Er 0.176 0.789 0.511 1
Er3 Er 0.390 0.195 0.701 1
Er4 Er 0.414 0.868 0.863 1
Er5 Er 0.500 0.500 0.500 1
```

2.
Theoretical X-ray diffraction stick pattern
Compound: Tb2Pr4Th
Radiation: λ = 1.5418 Å (Cu Kα)
Structure: a structure optimized by DFT (PBE)
Peak positions follow from Bragg's law for the DFT cell and can differ from measured ones.

Peak list (6 most intense, 10° ≤ 2θ ≤ 80°, by angle)
- (1 7 1), 29.9 deg, rel. 100.0
- (4 2 0), 30.1 deg, rel. 25.1
- (2 0 2), 31.2 deg, rel. 70.3
- (3 5 1), 31.7 deg, rel. 25.3
- (3 7 1), 36.6 deg, rel. 37.8
- (1 7 3), 50.2 deg, rel. 21.6

Structure:
```
data_Tb2Pr4Th
_chemical_formula_sum 'Tb16 Pr32 Th8'
_space_group_name_H-M_alt 'F d d 2'
_space_group_IT_number 43
_space_group_name_Hall 'F 2 -2d'
_cell_length_a 12.220
_cell_length_b 24.481
_cell_length_c 6.481
_cell_angle_alpha 90.00
_cell_angle_beta 90.00
_cell_angle_gamma 90.00
loop_
_atom_site_label
_atom_site_type_symbol
_atom_site_fract_x
_atom_site_fract_y
_atom_site_fract_z
_atom_site_occupancy
Tb1 Tb 0.022 0.283 0.000 1
Pr1 Pr 0.043 0.430 0.041 1
Pr2 Pr 0.065 0.357 0.509 1
Th1 Th 0.000 0.000 0.043 1
```

3.
Theoretical X-ray diffraction stick pattern
Compound: TbIn4I7
Radiation: λ = 1.5418 Å (Cu Kα)
Structure: a structure optimized by DFT (PBE)
Peak positions follow from Bragg's law for the DFT cell and can differ from measured ones.

Peak list (6 most intense, 10° ≤ 2θ ≤ 80°, by angle)
- (5 1 0), 25.6 deg, rel. 42.2
- (2 0 2), 25.8 deg, rel. 32.1
- (3 1 -2), 26.6 deg, rel. 59.4
- (1 1 2), 28.1 deg, rel. 41.0
- (0 2 0), 30.3 deg, rel. 100.0
- (8 0 -1), 31.8 deg, rel. 32.7

Structure:
```
data_TbIn4I7
_chemical_formula_sum 'Tb2 In8 I14'
_space_group_name_H-M_alt 'C 1 2/m 1'
_space_group_IT_number 12
_cell_length_a 22.564
_cell_length_b 5.894
_cell_length_c 8.445
_cell_angle_alpha 90.00
_cell_angle_beta 107.17
_cell_angle_gamma 90.00
loop_
_space_group_symop_operation_xyz
'x,y,z'
'-x,-y,-z'
'-x,y,-z'
'x,-y,z'
'x+1/2,y+1/2,z'
'-x+1/2,-y+1/2,-z'
'-x+1/2,y+1/2,-z'
'x+1/2,-y+1/2,z'
loop_
_atom_site_label
_atom_site_type_symbol
_atom_site_fract_x
_atom_site_fract_y
_atom_site_fract_z
_atom_site_occupancy
Tb1 Tb 0.000 0.000 0.000 1
In1 In 0.080 0.500 0.640 1
In2 In 0.187 0.500 0.271 1
I1 I 0.000 0.500 0.000 1
I2 I 0.084 0.000 0.356 1
I3 I 0.115 0.000 0.881 1
I4 I 0.224 0.500 0.673 1
```

4.
Theoretical X-ray diffraction stick pattern
Compound: NdHoEr2P4
Radiation: λ = 1.5418 Å (Cu Kα)
Structure: a structure optimized by DFT (PBE)
Peak positions follow from Bragg's law for the DFT cell and can differ from measured ones.

Peak list (6 most intense, 10° ≤ 2θ ≤ 80°, by angle)
- (2 0 0), 27.1 deg, rel. 87.1
- (1 1 1), 31.4 deg, rel. 100.0
- (0 2 0), 45.1 deg, rel. 73.1
- (3 1 1), 53.4 deg, rel. 42.6
- (2 2 -2), 56.0 deg, rel. 25.5
- (1 3 1), 74.6 deg, rel. 32.8

Structure:
```
data_NdHoEr2P4
_chemical_formula_sum 'Nd1 Ho1 Er2 P4'
_space_group_name_H-M_alt 'P 1 2/m 1'
_space_group_IT_number 10
_cell_length_a 6.969
_cell_length_b 4.026
_cell_length_c 6.969
_cell_angle_alpha 90.00
_cell_angle_beta 109.47
_cell_angle_gamma 90.00
loop_
_space_group_symop_operation_xyz
'x,y,z'
'-x,-y,-z'
'-x,y,-z'
'x,-y,z'
loop_
_atom_site_label
_atom_site_type_symbol
_atom_site_fract_x
_atom_site_fract_y
_atom_site_fract_z
_atom_site_occupancy
Nd1 Nd 0.000 0.000 0.000 1
Ho1 Ho 0.000 0.500 0.500 1
Er1 Er 0.500 0.000 0.500 1
Er2 Er 0.500 0.500 0.000 1
P1 P 0.255 0.000 0.747 1
P2 P 0.258 0.500 0.258 1
```

5.
Theoretical X-ray diffraction stick pattern
Compound: La3Tl2In3Pd
Radiation: λ = 1.5418 Å (Cu Kα)
Structure: a structure optimized by DFT (PBE)
Peak positions follow from Bragg's law for the DFT cell and can differ from measured ones.

Peak list (6 most intense, 10° ≤ 2θ ≤ 80°, by angle)
- (1 1 1), 29.8 deg, rel. 100.0
- (2 0 1), 32.6 deg, rel. 77.0
- (2 1 0), 35.1 deg, rel. 39.9
- (0 0 2), 38.4 deg, rel. 33.7
- (3 0 0), 39.9 deg, rel. 34.8
- (2 1 1), 40.1 deg, rel. 41.8

Structure:
```
data_La3Tl2In3Pd
_chemical_formula_sum 'La3 Tl2 In3 Pd1'
_space_group_name_H-M_alt 'P -6 2 m'
_space_group_IT_number 189
_space_group_name_Hall 'P -6 -2'
_cell_length_a 7.8194
_cell_length_b 7.8194
_cell_length_c 4.6892
_cell_angle_alpha 90.00
_cell_angle_beta 90.00
_cell_angle_gamma 120.00
loop_
_atom_site_label
_atom_site_type_symbol
_atom_site_fract_x
_atom_site_fract_y
_atom_site_fract_z
_atom_site_occupancy
La1 La 0.0000 0.6039 0.0000 1
Tl1 Tl 0.3333 0.6667 0.5000 1
In1 In 0.0000 0.2317 0.5000 1
Pd1 Pd 0.0000 0.0000 0.0000 1
```

6.
Theoretical X-ray diffraction stick pattern
Compound: Eu2ZnP3Pt7
Radiation: λ = 1.5418 Å (Cu Kα)
Structure: a structure optimized by DFT (PBE)
Peak positions follow from Bragg's law for the DFT cell and can differ from measured ones.

Peak list (6 most intense, 10° ≤ 2θ ≤ 80°, by angle)
- (1 1 2), 31.6 deg, rel. 37.6
- (1 1 6), 36.9 deg, rel. 100.0
- (1 0 9), 37.1 deg, rel. 31.6
- (2 0 0), 44.2 deg, rel. 58.4
- (2 2 0), 64.4 deg, rel. 19.3
- (3 1 6), 76.6 deg, rel. 24.3

Structure:
```
data_Eu2ZnP3Pt7
_chemical_formula_sum 'Eu4 Zn2 P6 Pt14'
_space_group_name_H-M_alt 'I -4 m 2'
_space_group_IT_number 119
_space_group_name_Hall 'I -4 -2'
_cell_length_a 4.095
_cell_length_b 4.095
_cell_length_c 27.003
_cell_angle_alpha 90.00
_cell_angle_beta 90.00
_cell_angle_gamma 90.00
loop_
_atom_site_label
_atom_site_type_symbol
_atom_site_fract_x
_atom_site_fract_y
_atom_site_fract_z
_atom_site_occupancy
Eu1 Eu 0.000 0.000 0.165 1
Zn1 Zn 0.000 0.000 0.000 1
P1 P 0.000 0.000 0.380 1
P2 P 0.000 0.500 0.250 1
Pt1 Pt 0.000 0.000 0.292 1
Pt2 Pt 0.000 0.000 0.500 1
Pt3 Pt 0.000 0.500 0.072 1
Pt4 Pt 0.000 0.500 0.573 1
```

7.
Theoretical X-ray diffraction stick pattern
Compound: Pm4Er2Mg
Radiation: λ = 1.5418 Å (Cu Kα)
Structure: a structure optimized by DFT (PBE)
Peak positions follow from Bragg's law for the DFT cell and can differ from measured ones.

Peak list (6 most intense, 10° ≤ 2θ ≤ 80°, by angle)
- (0 0 3), 24.7 deg, rel. 37.8
- (1 1 -1), 29.2 deg, rel. 61.7
- (2 0 0), 30.5 deg, rel. 54.1
- (1 1 -2), 32.0 deg, rel. 100.0
- (0 0 4), 33.1 deg, rel. 41.0
- (1 1 2), 34.6 deg, rel. 99.1

Structure:
```
data_Pm4Er2Mg
_chemical_formula_sum 'Pm4 Er2 Mg1'
_space_group_name_H-M_alt 'P 1 2/m 1'
_space_group_IT_number 10
_cell_length_a 5.940
_cell_length_b 3.657
_cell_length_c 10.964
_cell_angle_alpha 90.00
_cell_angle_beta 99.55
_cell_angle_gamma 90.00
loop_
_space_group_symop_operation_xyz
'x,y,z'
'-x,-y,-z'
'-x,y,-z'
'x,-y,z'
loop_
_atom_site_label
_atom_site_type_symbol
_atom_site_fract_x
_atom_site_fract_y
_atom_site_fract_z
_atom_site_occupancy
Pm1 Pm 0.047 0.000 0.206 1
Pm2 Pm 0.436 0.500 0.749 1
Er1 Er 0.000 0.500 0.500 1
Er2 Er 0.500 0.000 0.500 1
Mg1 Mg 0.500 0.000 0.000 1
```

8.
Theoretical X-ray diffraction stick pattern
Compound: NpPb2Cl3O3
Radiation: λ = 1.5418 Å (Cu Kα)
Structure: a structure optimized by DFT (PBE)
Peak positions follow from Bragg's law for the DFT cell and can differ from measured ones.

Peak list (6 most intense, 10° ≤ 2θ ≤ 80°, by angle)
- (1 1 0), 21.8 deg, rel. 100.0
- (1 0 1), 30.0 deg, rel. 36.1
- (2 0 1), 37.4 deg, rel. 38.4
- (3 0 0), 38.3 deg, rel. 28.8
- (2 1 1), 43.7 deg, rel. 36.4
- (2 2 0), 44.5 deg, rel. 18.9

Structure:
```
data_NpPb2Cl3O3
_chemical_formula_sum 'Np1 Pb2 Cl3 O3'
_space_group_name_H-M_alt 'P -6 2 m'
_space_group_IT_number 189
_space_group_name_Hall 'P -6 -2'
_cell_length_a 8.1397
_cell_length_b 8.1397
_cell_length_c 3.2873
_cell_angle_alpha 90.00
_cell_angle_beta 90.00
_cell_angle_gamma 120.00
loop_
_atom_site_label
_atom_site_type_symbol
_atom_site_fract_x
_atom_site_fract_y
_atom_site_fract_z
_atom_site_occupancy
Np1 Np 0.0000 0.0000 0.0000 1
Pb1 Pb 0.3333 0.6667 0.5000 1
Cl1 Cl 0.0000 0.4238 0.0000 1
O1 O 0.0000 0.8210 0.5000 1
```

9.
Theoretical X-ray diffraction stick pattern
Compound: Y2Ga9Co3
Radiation: λ = 1.5418 Å (Cu Kα)
Structure: a structure optimized by DFT (PBE)
Peak positions follow from Bragg's law for the DFT cell and can differ from measured ones.

Peak list (6 most intense, 10° ≤ 2θ ≤ 80°, by angle)
- (3 1 3), 37.6 deg, rel. 100.0
- (0 0 4), 38.1 deg, rel. 15.8
- (4 2 1), 38.5 deg, rel. 16.9
- (3 3 0), 42.4 deg, rel. 49.5
- (6 0 0), 42.6 deg, rel. 24.2
- (3 3 2), 46.8 deg, rel. 11.9

Structure:
```
data_Y2Ga9Co3
_chemical_formula_sum 'Y8 Ga36 Co12'
_space_group_name_H-M_alt 'C m c m'
_space_group_IT_number 63
_space_group_name_Hall '-C 2c 2'
_cell_length_a 12.736
_cell_length_b 7.389
_cell_length_c 9.438
_cell_angle_alpha 90.00
_cell_angle_beta 90.00
_cell_angle_gamma 90.00
loop_
_atom_site_label
_atom_site_type_symbol
_atom_site_fract_x
_atom_site_fract_y
_atom_site_fract_z
_atom_site_occupancy
Y1 Y 0.164 0.167 0.250 1
Ga1 Ga 0.000 0.121 0.750 1
Ga2 Ga 0.000 0.334 0.057 1
Ga3 Ga 0.107 0.443 0.750 1
Ga4 Ga 0.167 0.167 0.572 1
Co1 Co 0.000 0.000 0.000 1
Co2 Co 0.171 0.500 0.000 1
```

10.
Theoretical X-ray diffraction stick pattern
Compound: LiLaMg2Tl5
Radiation: λ = 1.5418 Å (Cu Kα)
Structure: a structure optimized by DFT (PBE)
Peak positions follow from Bragg's law for the DFT cell and can differ from measured ones.

Peak list (6 most intense, 10° ≤ 2θ ≤ 80°, by angle)
- (1 0 3), 25.0 deg, rel. 100.0
- (1 2 1), 32.7 deg, rel. 73.8
- (2 0 0), 35.8 deg, rel. 74.8
- (2 2 4), 51.5 deg, rel. 33.1
- (1 2 7), 53.6 deg, rel. 30.9
- (1 4 3), 61.1 deg, rel. 16.4

Structure:
```
data_LiLaMg2Tl5
_chemical_formula_sum 'Li2 La2 Mg4 Tl10'
_space_group_name_H-M_alt 'I m m m'
_space_group_IT_number 71
_space_group_name_Hall '-I 2 2'
_cell_length_a 5.020
_cell_length_b 6.707
_cell_length_c 15.168
_cell_angle_alpha 90.00
_cell_angle_beta 90.00
_cell_angle_gamma 90.00
loop_
_atom_site_label
_atom_site_type_symbol
_atom_site_fract_x
_atom_site_fract_y
_atom_site_fract_z
_atom_site_occupancy
Li1 Li 0.000 0.000 0.000 1
La1 La 0.000 0.000 0.500 1
Mg1 Mg 0.000 0.500 0.310 1
Tl1 Tl 0.000 0.264 0.141 1
Tl2 Tl 0.000 0.500 0.500 1
```

11.
Theoretical X-ray diffraction stick pattern
Compound: PmSmTh
Radiation: λ = 1.5418 Å (Cu Kα)
Structure: a structure optimized by DFT (PBE)
Peak positions follow from Bragg's law for the DFT cell and can differ from measured ones.

Peak list (6 most intense, 10° ≤ 2θ ≤ 80°, by angle)
- (3 1 1), 30.2 deg, rel. 100.0
- (0 2 0), 35.1 deg, rel. 50.7
- (0 2 2), 50.4 deg, rel. 36.1
- (9 1 1), 59.9 deg, rel. 13.5
- (3 3 1), 60.0 deg, rel. 29.3
- (6 2 2), 62.9 deg, rel. 12.3

Structure:
```
data_PmSmTh
_chemical_formula_sum 'Pm4 Sm4 Th4'
_space_group_name_H-M_alt 'A e m 2'
_space_group_IT_number 39
_cell_length_a 15.380
_cell_length_b 5.116
_cell_length_c 5.115
_cell_angle_alpha 90.00
_cell_angle_beta 90.00
_cell_angle_gamma 90.00
loop_
_space_group_symop_operation_xyz
'x,y,z'
'-x,-y,z'
'-x,y+1/2,z'
'x,-y+1/2,z'
'x,y+1/2,z+1/2'
'-x,-y+1/2,z+1/2'
'-x,y,z+1/2'
'x,-y,z+1/2'
loop_
_atom_site_label
_atom_site_type_symbol
_atom_site_fract_x
_atom_site_fract_y
_atom_site_fract_z
_atom_site_occupancy
Pm1 Pm 0.084 0.250 0.000 1
Sm1 Sm 0.258 0.250 0.499 1
Th1 Th 0.422 0.250 0.999 1
```

12.
Theoretical X-ray diffraction stick pattern
Compound: Ac2MgPdAu6
Radiation: λ = 1.5418 Å (Cu Kα)
Structure: a structure optimized by DFT (PBE)
Peak positions follow from Bragg's law for the DFT cell and can differ from measured ones.

Peak list (6 most intense, 10° ≤ 2θ ≤ 80°, by angle)
- (0 0 2), 25.4 deg, rel. 46.9
- (4 0 -2), 28.0 deg, rel. 37.2
- (4 0 0), 37.8 deg, rel. 57.8
- (2 2 0), 38.1 deg, rel. 100.0
- (2 2 -2), 38.2 deg, rel. 64.0
- (5 1 -3), 39.7 deg, rel. 39.8

Structure:
```
data_Ac2MgPdAu6
_chemical_formula_sum 'Ac4 Mg2 Pd2 Au12'
_space_group_name_H-M_alt 'C 1 2/m 1'
_space_group_IT_number 12
_cell_length_a 12.729
_cell_length_b 5.450
_cell_length_c 9.383
_cell_angle_alpha 90.00
_cell_angle_beta 131.63
_cell_angle_gamma 90.00
loop_
_space_group_symop_operation_xyz
'x,y,z'
'-x,-y,-z'
'-x,y,-z'
'x,-y,z'
'x+1/2,y+1/2,z'
'-x+1/2,-y+1/2,-z'
'-x+1/2,y+1/2,-z'
'x+1/2,-y+1/2,z'
loop_
_atom_site_label
_atom_site_type_symbol
_atom_site_fract_x
_atom_site_fract_y
_atom_site_fract_z
_atom_site_occupancy
Ac1 Ac 0.222 0.000 0.193 1
Mg1 Mg 0.000 0.000 0.500 1
Pd1 Pd 0.000 0.500 0.000 1
Au1 Au 0.023 0.250 0.764 1
Au2 Au 0.244 0.500 0.405 1
```

13.
Theoretical X-ray diffraction stick pattern
Compound: Zr5Ti7O24
Radiation: λ = 1.5418 Å (Cu Kα)
Structure: a structure optimized by DFT (PBE)
Peak positions follow from Bragg's law for the DFT cell and can differ from measured ones.

Peak list (6 most intense, 10° ≤ 2θ ≤ 80°, by angle)
- (1 1 0), 24.3 deg, rel. 36.4
- (1 1 -3), 29.8 deg, rel. 100.0
- (1 1 3), 30.5 deg, rel. 93.9
- (0 2 0), 31.9 deg, rel. 21.4
- (0 2 6), 48.5 deg, rel. 19.7
- (0 2 9), 64.5 deg, rel. 19.2

Structure:
```
data_Zr5Ti7O24
_chemical_formula_sum 'Zr5 Ti7 O24'
_space_group_name_H-M_alt 'P 1 2 1'
_space_group_IT_number 3
_cell_length_a 4.825
_cell_length_b 5.617
_cell_length_c 15.161
_cell_angle_alpha 90.00
_cell_angle_beta 91.80
_cell_angle_gamma 90.00
loop_
_space_group_symop_operation_xyz
'x,y,z'
'-x,y,-z'
loop_
_atom_site_label
_atom_site_type_symbol
_atom_site_fract_x
_atom_site_fract_y
_atom_site_fract_z
_atom_site_occupancy
Zr1 Zr 0.000 0.000 0.000 1
Zr2 Zr 0.000 0.396 0.500 1
Zr3 Zr 0.017 0.979 0.335 1
Zr4 Zr 0.500 0.493 0.000 1
Ti1 Ti 0.018 0.376 0.171 1
Ti2 Ti 0.480 0.502 0.670 1
Ti3 Ti 0.482 0.874 0.833 1
Ti4 Ti 0.500 0.857 0.500 1
O1 O 0.196 0.300 0.936 1
O2 O 0.205 0.070 0.782 1
O3 O 0.224 0.290 0.616 1
O4 O 0.234 0.573 0.771 1
O5 O 0.245 0.075 0.449 1
O6 O 0.250 0.303 0.277 1
O7 O 0.252 0.769 0.596 1
O8 O 0.267 0.082 0.111 1
O9 O 0.268 0.578 0.114 1
O10 O 0.283 0.793 0.938 1
O11 O 0.292 0.582 0.431 1
O12 O 0.329 0.799 0.273 1
```